For Ti3CdN, a crystal structure in Alexandria, relaxed with PBE gives the calculated PXRD pattern in this record (a wavelength of 1.5418 Å).
Neutral-atom scattering factors, no anomalous dispersion.

```
data_Ti3CdN
_symmetry_space_group_name_H-M 'P 4/m m m'
_symmetry_Int_Tables_number 123
_symmetry_space_group_name_Hall '-P 4 2'
_cell_length_a 3.031
_cell_length_b 3.031
_cell_length_c 8.171
_cell_angle_alpha 90.00
_cell_angle_beta 90.00
_cell_angle_gamma 90.00
loop_
_atom_site_label
_atom_site_type_symbol
_atom_site_fract_x
_atom_site_fract_y
_atom_site_fract_z
Ti1 Ti 0.000 0.000 0.000
Ti2 Ti 0.500 0.500 0.246
Cd1 Cd 0.000 0.000 0.500
N1 N 0.500 0.500 0.000
```

Top 6 peaks for 10 to 90 degrees two-theta, sorted by position:
d 2.841, 2θ 31.49, rel. 18.3, hkl 1 0 1
d 2.434, 2θ 36.93, rel. 100.0, hkl 1 0 2
d 2.143, 2θ 42.17, rel. 41.3, hkl 1 1 0
d 2.043, 2θ 44.35, rel. 17.6, hkl 0 0 4
d 1.479, 2θ 62.85, rel. 22.7, hkl 1 1 4
d 1.286, 2θ 73.64, rel. 23.5, hkl 2 1 2